1.
The following is a theoretical XRD peak list of CeAl3Cl12. It was derived from a structure optimized by DFT (PBE), using copper Kα.

Cell and atoms:
```
CeAl3Cl12
1.0
12.264 0.000 0.000
-6.132 10.621 0.000
0.000 0.000 7.359
Ce Al Cl
2 6 24
Cartesian
0.000 7.081 1.840
6.132 3.540 5.519
-1.245 4.182 5.519
-1.887 9.609 5.519
2.999 3.170 1.840
3.133 7.451 5.519
8.020 1.012 1.840
7.378 6.439 1.840
-1.106 2.101 5.519
-2.912 5.572 1.840
-3.760 10.528 5.519
1.267 2.008 1.840
-0.095 4.963 3.787
-0.095 4.963 7.252
-1.787 8.222 3.787
-1.787 8.222 7.252
4.250 2.564 0.108
4.250 2.564 3.572
2.763 5.313 1.840
5.983 0.264 5.519
0.149 10.357 1.840
3.369 5.308 5.519
1.882 8.057 3.787
1.882 8.057 7.252
7.919 2.399 0.108
7.919 2.399 3.572
6.227 5.658 0.108
6.227 5.658 3.572
4.866 8.613 5.519
9.892 0.093 1.840
9.044 5.050 5.519
7.238 8.520 1.840
```

Top 10 peaks for 2θ from 10° to 90°, by angle:
- 2θ = 14.4°, I = 32
- 2θ = 14.6°, I = 54
- 2θ = 18.8°, I = 48
- 2θ = 20.6°, I = 85
- 2θ = 25.3°, I = 51
- 2θ = 30.3°, I = 46
- 2θ = 32.7°, I = 30
- 2θ = 33.0°, I = 100
- 2θ = 35.2°, I = 30
- 2θ = 38.9°, I = 55


2.
The following is a theoretical XRD peak list of Pa4GaRe. It was derived from a structure optimized by DFT (PBE), using copper Kα.

Cell and atoms:
```
Pa4GaRe
1.0
6.898 0.000 0.000
0.000 6.898 0.000
0.000 0.000 5.791
Pa Ga Re
8 2 2
Cartesian
0.931 2.374 0.000
0.931 4.525 2.896
2.374 0.931 2.896
2.374 5.967 0.000
4.525 0.931 0.000
4.525 5.967 2.896
5.967 2.374 2.896
5.967 4.525 0.000
3.449 3.449 1.448
3.449 3.449 4.344
0.000 0.000 1.448
0.000 0.000 4.344
```

Top 10 peaks for 2θ from 10° to 90°, by angle:
- 2θ = 12.8°, I = 12
- 2θ = 30.9°, I = 13
- 2θ = 32.9°, I = 100
- 2θ = 36.1°, I = 29
- 2θ = 40.7°, I = 14
- 2θ = 41.4°, I = 33
- 2θ = 56.2°, I = 23
- 2θ = 62.7°, I = 18
- 2θ = 65.9°, I = 15
- 2θ = 76.1°, I = 13


3.
The following is a theoretical XRD peak list of Tb3SbSe6. It was derived from a structure optimized by DFT (PBE), using copper Kα.

Cell and atoms:
```
Tb3SbSe6
1.0
5.564 -7.012 0.000
5.564 7.012 0.000
0.000 0.000 7.097
Tb Sb Se
6 2 12
Cartesian
5.564 5.697 3.548
3.520 1.397 4.278
3.520 -1.397 0.729
7.607 1.397 4.278
7.607 -1.397 0.729
5.564 -5.697 0.000
5.564 2.506 0.849
5.564 -2.506 4.397
3.678 3.746 2.283
1.843 0.464 2.111
1.843 -0.464 5.660
5.564 3.261 5.259
7.449 3.746 2.283
5.564 0.110 2.610
5.564 -0.110 6.159
3.678 -3.746 5.832
5.564 -3.261 1.710
9.284 0.464 2.111
9.284 -0.464 5.660
7.449 -3.746 5.832
```

Top 10 peaks for 2θ from 10° to 90°, by angle:
- 2θ = 24.0°, I = 100
- 2θ = 24.2°, I = 40
- 2θ = 32.5°, I = 22
- 2θ = 32.7°, I = 21
- 2θ = 33.3°, I = 57
- 2θ = 35.6°, I = 56
- 2θ = 36.0°, I = 49
- 2θ = 40.3°, I = 61
- 2θ = 46.0°, I = 25
- 2θ = 49.1°, I = 23


4.
The following is a theoretical XRD peak list of Ba5SbBr5. It was derived from a structure optimized by DFT (PBE), using copper Kα.

Cell and atoms:
```
Ba5SbBr5
1.0
7.577 -3.388 0.000
7.577 3.388 0.000
-3.006 0.000 9.082
Ba Sb Br
5 1 5
Cartesian
0.000 0.000 0.000
4.603 0.000 1.516
3.112 0.000 6.089
9.035 0.000 2.993
7.545 0.000 7.566
7.577 0.000 0.000
1.547 0.000 3.063
0.075 0.000 7.570
6.074 0.000 4.541
12.072 0.000 1.512
10.600 0.000 6.019
```

Top 10 peaks for 2θ from 10° to 90°, by angle:
- 2θ = 14.5°, I = 7
- 2θ = 26.3°, I = 100
- 2θ = 37.6°, I = 77
- 2θ = 46.4°, I = 28
- 2θ = 54.2°, I = 13
- 2θ = 61.1°, I = 9
- 2θ = 61.2°, I = 24
- 2θ = 67.7°, I = 13
- 2θ = 67.8°, I = 13
- 2θ = 86.2°, I = 6